[1]
Diffraction record for Np2CdSn9. The X-ray powder pattern is simulated, not measured: it uses a crystal structure in Alexandria, relaxed with GGA-PBE and Cu Kα (λ = 1.5418 Å).
Intensities are scaled so that the largest is 100.

Cell and atoms:
a = 4.6074 Å, b = 4.6074 Å, c = 14.6687 Å
α = 90.00°, β = 90.00°, γ = 90.00°
Element x y z (fractional)
1 Np 0.0000 0.0000 0.1556
2 Np 0.0000 0.0000 0.8444
3 Cd 0.0000 0.0000 0.5000
4 Sn 0.0000 0.5000 0.0000
5 Sn 0.0000 0.5000 0.3276
6 Sn 0.0000 0.5000 0.6724
7 Sn 0.5000 0.0000 0.0000
8 Sn 0.5000 0.0000 0.3276
9 Sn 0.5000 0.0000 0.6724
10 Sn 0.5000 0.5000 0.1651
11 Sn 0.5000 0.5000 0.5000
12 Sn 0.5000 0.5000 0.8349

Top 12 peaks for 10 to 90 degrees two-theta, in order of rising 2θ:
| 2θ (°) | d [Å] | I/Imax |
| --- | --- | --- |
| 19.3 | 4.607 | 3 |
| 20.2 | 4.396 | 2 |
| 26.6 | 3.353 | 3 |
| 33.0 | 2.711 | 100 |
| 36.8 | 2.445 | 18 |
| 39.1 | 2.304 | 32 |
| 54.7 | 1.677 | 23 |
| 56.5 | 1.629 | 11 |
| 63.9 | 1.458 | 14 |
| 67.0 | 1.396 | 28 |
| 69.3 | 1.355 | 13 |
| 84.0 | 1.152 | 4 |

[2]
Diffraction record for ThNpCd17. The X-ray powder pattern is simulated, not measured: it uses a crystal structure in Alexandria, relaxed with GGA-PBE and Cu Kα (λ = 1.5418 Å).
Intensities are scaled so that the largest is 100.

Cell and atoms:
a = 7.6673 Å, b = 7.6673 Å, c = 7.6673 Å
α = 82.09°, β = 82.09°, γ = 82.09°
Element x y z (fractional)
1 Th 0.0000 0.0000 0.0000
2 Np 0.6626 0.6626 0.6626
3 Cd 0.0314 0.3333 0.6321
4 Cd 0.0314 0.6321 0.3333
5 Cd 0.1779 0.6909 0.6909
6 Cd 0.2305 0.2305 0.2305
7 Cd 0.3293 0.3293 0.8355
8 Cd 0.3293 0.8355 0.3293
9 Cd 0.3333 0.0314 0.6321
10 Cd 0.3333 0.6321 0.0314
11 Cd 0.4345 0.4345 0.4345
12 Cd 0.4999 0.9685 0.9685
13 Cd 0.6321 0.0314 0.3333
14 Cd 0.6321 0.3333 0.0314
15 Cd 0.6909 0.1779 0.6909
16 Cd 0.6909 0.6909 0.1779
17 Cd 0.8355 0.3293 0.3293
18 Cd 0.9685 0.4999 0.9685
19 Cd 0.9685 0.9685 0.4999

Top 12 peaks for 10 to 90 degrees two-theta, in order of rising 2θ:
| 2θ (°) | d [Å] | I/Imax |
| --- | --- | --- |
| 25.1 | 3.547 | 12 |
| 29.6 | 3.017 | 9 |
| 30.8 | 2.907 | 24 |
| 31.5 | 2.842 | 18 |
| 35.7 | 2.514 | 100 |
| 35.9 | 2.500 | 20 |
| 36.3 | 2.472 | 26 |
| 40.1 | 2.248 | 21 |
| 58.0 | 1.591 | 11 |
| 64.1 | 1.453 | 13 |
| 64.5 | 1.445 | 22 |
| 75.7 | 1.256 | 8 |

[3]
Diffraction record for Np2Zn16Cd. The X-ray powder pattern is simulated, not measured: it uses a crystal structure in Alexandria, relaxed with GGA-PBE and Cu Kα (λ = 1.5418 Å).
Intensities are scaled so that the largest is 100.

Cell and atoms:
a = 6.8486 Å, b = 6.8486 Å, c = 6.8486 Å
α = 82.79°, β = 82.79°, γ = 82.79°
Element x y z (fractional)
1 Np 0.0000 0.0000 0.0000
2 Np 0.3198 0.3198 0.3198
3 Zn 0.0140 0.0140 0.4998
4 Zn 0.0140 0.4998 0.0140
5 Zn 0.1543 0.6647 0.6647
6 Zn 0.3062 0.3062 0.8252
7 Zn 0.3062 0.8252 0.3062
8 Zn 0.3610 0.6612 0.9621
9 Zn 0.3610 0.9621 0.6612
10 Zn 0.4998 0.0140 0.0140
11 Zn 0.6612 0.3610 0.9621
12 Zn 0.6612 0.9621 0.3610
13 Zn 0.6647 0.1543 0.6647
14 Zn 0.6647 0.6647 0.1543
15 Zn 0.7704 0.7704 0.7704
16 Zn 0.8252 0.3062 0.3062
17 Zn 0.9621 0.3610 0.6612
18 Zn 0.9621 0.6612 0.3610
19 Cd 0.5630 0.5630 0.5630

Top 12 peaks for 10 to 90 degrees two-theta, in order of rising 2θ:
| 2θ (°) | d [Å] | I/Imax |
| --- | --- | --- |
| 28.2 | 3.164 | 42 |
| 34.3 | 2.615 | 52 |
| 35.4 | 2.533 | 32 |
| 39.8 | 2.264 | 63 |
| 40.1 | 2.251 | 100 |
| 40.8 | 2.211 | 51 |
| 41.1 | 2.198 | 18 |
| 57.7 | 1.596 | 23 |
| 58.3 | 1.582 | 25 |
| 65.3 | 1.429 | 21 |
| 72.3 | 1.307 | 20 |
| 73.8 | 1.284 | 22 |